# 1
# AlNiC
Simulated X-ray diffraction stick pattern, Cu Kα. Input: a GGA-PBE-relaxed structure.
Peak positions follow from Bragg's law for the DFT cell and can differ from measured ones.

Most intense lines, 2θ from 5° to 70°, in order of falling intensity:
2θ = 44.35°, d 2.043, I = 100; 2θ = 15.35°, d 5.771, I = 52; 2θ = 38.14°, d 2.359, I = 24; 2θ = 49.40°, d 1.845, I = 20; 2θ = 25.34°, d 3.515, I = 19; 2θ = 30.99°, d 2.886, I = 18; 2θ = 47.25°, d 1.924, I = 16; 2θ = 32.11°, d 2.787, I = 14; 2θ = 33.65°, d 2.663, I = 14; 2θ = 57.95°, d 1.591, I = 12

Structure:
a b c (Å): 6.0591 6.0591 3.1829
angles (deg): 90.00 90.00 144.54
Fractional positions:
Al1 0.1549 0.8451 0.0000
Al2 0.8451 0.1549 0.0000
Ni1 0.3311 0.6689 0.5000
Ni2 0.6689 0.3311 0.5000
C1 0.4410 0.5590 0.0000
C2 0.5590 0.4410 0.0000

# 2
# BaReIr
Simulated X-ray diffraction stick pattern, Cu Kα. Input: a GGA-PBE-relaxed structure.
Peak positions follow from Bragg's law for the DFT cell and can differ from measured ones.

Most intense lines, 2θ from 5° to 70°, in order of falling intensity:
2θ = 13.18°, d 6.716, I = 100; 2θ = 34.03°, d 2.635, I = 48; 2θ = 42.52°, d 2.126, I = 45; 2θ = 41.89°, d 2.157, I = 33; 2θ = 26.54°, d 3.358, I = 32; 2θ = 39.88°, d 2.260, I = 32; 2θ = 49.08°, d 1.856, I = 13; 2θ = 59.17°, d 1.561, I = 12; 2θ = 26.82°, d 3.325, I = 11; 2θ = 50.86°, d 1.795, I = 11

Structure:
a b c (Å): 5.3408 4.2488 6.7182
angles (deg): 90.00 91.49 90.00
Fractional positions:
Ba1 0.0000 0.0000 0.0000
Ba2 0.4997 0.5000 0.2108
Re1 0.4633 0.0000 0.5843
Re2 0.9575 0.0000 0.5374
Ir1 0.2171 0.5000 0.6697
Ir2 0.7194 0.5000 0.6774

# 3
# RbTePbI
Simulated X-ray diffraction stick pattern, Cu Kα. Input: a GGA-PBE-relaxed structure.
Peak positions follow from Bragg's law for the DFT cell and can differ from measured ones.

Most intense lines, 2θ from 5° to 70°, in order of falling intensity:
2θ = 32.63°, d 2.744, I = 100; 2θ = 36.79°, d 2.443, I = 83; 2θ = 21.22°, d 4.186, I = 82; 2θ = 21.89°, d 4.060, I = 77; 2θ = 9.20°, d 9.616, I = 38; 2θ = 30.28°, d 2.952, I = 37; 2θ = 49.98°, d 1.825, I = 30; 2θ = 18.45°, d 4.808, I = 30; 2θ = 26.12°, d 3.412, I = 30; 2θ = 37.74°, d 2.383, I = 28

Structure:
a b c (Å): 4.8839 4.8839 10.0248
angles (deg): 104.17 104.17 60.07
Fractional positions:
Rb1 0.0000 0.0000 0.0000
Te1 0.2387 0.2387 0.7158
Pb1 0.8542 0.8542 0.5635
I1 0.7412 0.7412 0.2234

# 4
# CeCdIn
Simulated X-ray diffraction stick pattern, Cu Kα. Input: a GGA-PBE-relaxed structure.
Peak positions follow from Bragg's law for the DFT cell and can differ from measured ones.

Most intense lines, 2θ from 5° to 70°, in order of falling intensity:
2θ = 31.89°, d 2.807, I = 100; 2θ = 35.91°, d 2.501, I = 83; 2θ = 48.77°, d 1.867, I = 30; 2θ = 62.03°, d 1.496, I = 29; 2θ = 62.63°, d 1.483, I = 20; 2θ = 64.54°, d 1.444, I = 14; 2θ = 42.30°, d 2.137, I = 10; 2θ = 49.47°, d 1.842, I = 7; 2θ = 23.83°, d 3.734, I = 6; 2θ = 68.93°, d 1.362, I = 4

Structure:
a b c (Å): 5.0015 5.0015 7.3699
angles (deg): 90.00 90.00 120.00
Fractional positions:
Ce1 0.0000 0.0000 0.2403
Ce2 0.0000 0.0000 0.7597
Cd1 0.3333 0.6667 0.0194
Cd2 0.6667 0.3333 0.9806
In1 0.3333 0.6667 0.4571
In2 0.6667 0.3333 0.5429

# 5
# Zr2Os2W
Simulated X-ray diffraction stick pattern, Cu Kα. Input: a GGA-PBE-relaxed structure.
Peak positions follow from Bragg's law for the DFT cell and can differ from measured ones.

Most intense lines, 2θ from 5° to 70°, in order of falling intensity:
2θ = 36.79°, d 2.443, I = 100; 2θ = 20.09°, d 4.420, I = 45; 2θ = 43.66°, d 2.073, I = 40; 2θ = 40.84°, d 2.210, I = 31; 2θ = 61.32°, d 1.512, I = 29; 2θ = 48.51°, d 1.877, I = 27; 2θ = 34.05°, d 2.633, I = 23; 2θ = 30.49°, d 2.932, I = 11; 2θ = 38.86°, d 2.318, I = 9; 2θ = 62.04°, d 1.496, I = 8

Structure:
a b c (Å): 6.5554 6.5554 4.4196
angles (deg): 90.00 90.00 90.00
Fractional positions:
Zr1 0.1815 0.3185 0.0000
Zr2 0.3185 0.8185 0.0000
Zr3 0.6815 0.1815 0.0000
Zr4 0.8185 0.6815 0.0000
Os1 0.1363 0.6363 0.5000
Os2 0.3637 0.1363 0.5000
Os3 0.6363 0.8637 0.5000
Os4 0.8637 0.3637 0.5000
W1 0.0000 0.0000 0.5000
W2 0.5000 0.5000 0.5000

# 6
# Sm4Pd7Pt
Simulated X-ray diffraction stick pattern, Cu Kα. Input: a GGA-PBE-relaxed structure.
Peak positions follow from Bragg's law for the DFT cell and can differ from measured ones.

Most intense lines, 2θ from 5° to 70°, in order of falling intensity:
2θ = 33.85°, d 2.648, I = 100; 2θ = 38.70°, d 2.327, I = 88; 2θ = 40.28°, d 2.239, I = 85; 2θ = 40.11°, d 2.248, I = 84; 2θ = 42.47°, d 2.128, I = 82; 2θ = 36.74°, d 2.446, I = 73; 2θ = 34.62°, d 2.591, I = 67; 2θ = 33.10°, d 2.706, I = 57; 2θ = 33.53°, d 2.672, I = 53; 2θ = 43.16°, d 2.096, I = 50

Structure:
a b c (Å): 5.6562 5.8203 8.1005
angles (deg): 72.39 86.26 76.79
Fractional positions:
Sm1 0.1687 0.4377 0.2916
Sm2 0.2413 0.9008 0.8448
Sm3 0.7587 0.0992 0.1552
Sm4 0.8313 0.5623 0.7084
Pd1 0.0000 0.0000 0.5000
Pd2 0.2650 0.3341 0.9565
Pd3 0.3138 0.8908 0.2328
Pd4 0.3257 0.5562 0.6111
Pd5 0.6743 0.4438 0.3889
Pd6 0.6862 0.1092 0.7672
Pd7 0.7350 0.6659 0.0435
Pt1 0.5000 0.0000 0.5000